[1]
Rb4NpBr6: computed X-ray powder pattern (λ = 1.5418 Å (Cu Kα)), based on a PBE-relaxed structure.
Kinematic intensities with the Lorentz-polarization factor, no thermal factor.

```
data_Rb4NpBr6
_chemical_formula_sum 'Rb8 Np2 Br12'
_space_group_name_H-M_alt 'P 4/m n c'
_space_group_IT_number 128
_space_group_name_Hall '-P 4 2n'
_cell_length_a 9.6132
_cell_length_b 9.6132
_cell_length_c 10.0850
_cell_angle_alpha 90.00
_cell_angle_beta 90.00
_cell_angle_gamma 90.00
loop_
_atom_site_label
_atom_site_type_symbol
_atom_site_fract_x
_atom_site_fract_y
_atom_site_fract_z
Rb1 Rb 0.1730 0.3270 0.2500
Np1 Np 0.0000 0.0000 0.0000
Br1 Br 0.0000 0.0000 0.2929
Br2 Br 0.0933 0.6995 0.0000
```

Peak list (12 most intense, 15 to 90 degrees two-theta, in order of falling intensity)
| 2theta | I_rel |
| --- | --- |
| 27.26 | 100 |
| 29.38 | 92 |
| 28.12 | 42 |
| 46.81 | 38 |
| 35.61 | 29 |
| 43.31 | 25 |
| 42.03 | 25 |
| 26.22 | 22 |
| 47.46 | 19 |
| 38.83 | 19 |
| 34.80 | 18 |
| 29.24 | 17 |


[2]
NpSnBr5: computed X-ray powder pattern (λ = 1.5418 Å (Cu Kα)), based on a PBE-relaxed structure.
Kinematic intensities with the Lorentz-polarization factor, no thermal factor.

```
data_NpSnBr5
_chemical_formula_sum 'Np2 Sn2 Br10'
_space_group_name_H-M_alt 'P 1 21/m 1'
_space_group_IT_number 11
_cell_length_a 8.3024
_cell_length_b 4.3573
_cell_length_c 13.9914
_cell_angle_alpha 90.00
_cell_angle_beta 93.08
_cell_angle_gamma 90.00
loop_
_space_group_symop_operation_xyz
'x,y,z'
'-x,-y,-z'
'-x,y+1/2,-z'
'x,-y+1/2,z'
loop_
_atom_site_label
_atom_site_type_symbol
_atom_site_fract_x
_atom_site_fract_y
_atom_site_fract_z
Np1 Np 0.0899 0.2500 0.1478
Sn1 Sn 0.4069 0.7500 0.3665
Br1 Br 0.1096 0.2500 0.7901
Br2 Br 0.1490 0.2500 0.3636
Br3 Br 0.1822 0.7500 0.0138
Br4 Br 0.3517 0.7500 0.5679
Br5 Br 0.4294 0.2500 0.1810
```

Peak list (12 most intense, 15 to 90 degrees two-theta, in order of falling intensity)
| 2theta | I_rel |
| --- | --- |
| 29.67 | 100 |
| 29.75 | 77 |
| 40.35 | 65 |
| 31.99 | 61 |
| 24.08 | 57 |
| 41.45 | 49 |
| 38.80 | 48 |
| 25.53 | 44 |
| 21.37 | 36 |
| 44.15 | 35 |
| 44.90 | 34 |
| 39.38 | 34 |


[3]
NpTl2Br6: computed X-ray powder pattern (λ = 1.5418 Å (Cu Kα)), based on a PBE-relaxed structure.
Kinematic intensities with the Lorentz-polarization factor, no thermal factor.

```
data_NpTl2Br6
_chemical_formula_sum 'Np2 Tl4 Br12'
_space_group_name_H-M_alt 'P 42/m n m'
_space_group_IT_number 136
_space_group_name_Hall '-P 4n 2n'
_cell_length_a 7.4164
_cell_length_b 7.4164
_cell_length_c 14.0472
_cell_angle_alpha 90.00
_cell_angle_beta 90.00
_cell_angle_gamma 90.00
loop_
_atom_site_label
_atom_site_type_symbol
_atom_site_fract_x
_atom_site_fract_y
_atom_site_fract_z
Np1 Np 0.0000 0.0000 0.0000
Tl1 Tl 0.0000 0.0000 0.3336
Br1 Br 0.1830 0.1830 0.1439
Br2 Br 0.2356 0.2356 0.5000
```

Peak list (12 most intense, 15 to 90 degrees two-theta, in order of falling intensity)
| 2theta | I_rel |
| --- | --- |
| 16.91 | 100 |
| 33.10 | 88 |
| 22.46 | 53 |
| 41.30 | 42 |
| 34.20 | 34 |
| 25.50 | 28 |
| 38.42 | 28 |
| 52.37 | 28 |
| 66.12 | 21 |
| 71.42 | 19 |
| 42.28 | 19 |
| 55.44 | 17 |


[4]
Np2Tl3Br9: computed X-ray powder pattern (λ = 1.5418 Å (Cu Kα)), based on a PBE-relaxed structure.
Kinematic intensities with the Lorentz-polarization factor, no thermal factor.

```
data_Np2Tl3Br9
_chemical_formula_sum 'Np12 Tl18 Br54'
_space_group_name_H-M_alt 'R -3 c'
_space_group_IT_number 167
_space_group_name_Hall '-R 3 2"c'
_cell_length_a 13.9231
_cell_length_b 13.9231
_cell_length_c 19.1943
_cell_angle_alpha 90.00
_cell_angle_beta 90.00
_cell_angle_gamma 120.00
loop_
_atom_site_label
_atom_site_type_symbol
_atom_site_fract_x
_atom_site_fract_y
_atom_site_fract_z
Np1 Np 0.0000 0.0000 0.1446
Tl1 Tl 0.0000 0.2881 0.2500
Br1 Br 0.0000 0.1549 0.7500
Br2 Br 0.0313 0.1980 0.4151
```

Peak list (12 most intense, 15 to 90 degrees two-theta, in order of falling intensity)
| 2theta | I_rel |
| --- | --- |
| 29.21 | 100 |
| 38.22 | 53 |
| 22.12 | 52 |
| 23.70 | 34 |
| 32.69 | 34 |
| 37.53 | 29 |
| 30.76 | 25 |
| 27.89 | 23 |
| 45.12 | 23 |
| 50.17 | 22 |
| 26.98 | 21 |
| 18.84 | 21 |


[5]
NpZnBr5: computed X-ray powder pattern (λ = 1.5418 Å (Cu Kα)), based on a PBE-relaxed structure.
Kinematic intensities with the Lorentz-polarization factor, no thermal factor.

```
data_NpZnBr5
_chemical_formula_sum 'Np2 Zn2 Br10'
_space_group_name_H-M_alt 'P -1'
_space_group_IT_number 2
_cell_length_a 7.6291
_cell_length_b 7.6309
_cell_length_c 10.7080
_cell_angle_alpha 69.18
_cell_angle_beta 69.23
_cell_angle_gamma 85.99
loop_
_space_group_symop_operation_xyz
'x,y,z'
'-x,-y,-z'
loop_
_atom_site_label
_atom_site_type_symbol
_atom_site_fract_x
_atom_site_fract_y
_atom_site_fract_z
Np1 Np 0.0000 0.0000 0.0000
Np2 Np 0.5000 0.5000 0.5000
Zn1 Zn 0.1339 0.3660 0.2502
Br1 Br 0.1506 0.6877 0.5411
Br2 Br 0.1740 0.0964 0.1684
Br3 Br 0.1882 0.6508 0.0415
Br4 Br 0.3294 0.1713 0.7505
Br5 Br 0.4033 0.3244 0.3325
```

Peak list (12 most intense, 15 to 90 degrees two-theta, in order of falling intensity)
| 2theta | I_rel |
| --- | --- |
| 18.13 | 100 |
| 18.85 | 55 |
| 29.74 | 31 |
| 17.04 | 30 |
| 32.30 | 27 |
| 30.40 | 25 |
| 27.40 | 24 |
| 36.74 | 22 |
| 39.63 | 21 |
| 34.43 | 21 |
| 48.81 | 21 |
| 38.23 | 20 |


[6]
BrO4: computed X-ray powder pattern (λ = 1.5418 Å (Cu Kα)), based on a PBE-relaxed structure.
Kinematic intensities with the Lorentz-polarization factor, no thermal factor.

```
data_BrO4
_chemical_formula_sum 'Br4 O16'
_space_group_name_H-M_alt 'P 1 21 1'
_space_group_IT_number 4
_cell_length_a 6.5106
_cell_length_b 10.9397
_cell_length_c 6.6923
_cell_angle_alpha 90.00
_cell_angle_beta 112.99
_cell_angle_gamma 90.00
loop_
_space_group_symop_operation_xyz
'x,y,z'
'-x,y+1/2,-z'
loop_
_atom_site_label
_atom_site_type_symbol
_atom_site_fract_x
_atom_site_fract_y
_atom_site_fract_z
Br1 Br 0.0177 0.0000 0.0336
Br2 Br 0.2470 0.4049 0.6735
O1 O 0.0950 0.3269 0.7859
O2 O 0.0986 0.5825 0.8255
O3 O 0.1504 0.4850 0.2274
O4 O 0.3096 0.9928 0.6378
O5 O 0.3564 0.0816 0.7608
O6 O 0.3761 0.7058 0.5888
O7 O 0.4189 0.2157 0.3319
O8 O 0.4800 0.9025 0.1730
```

Peak list (12 most intense, 15 to 90 degrees two-theta, in order of falling intensity)
| 2theta | I_rel |
| --- | --- |
| 16.20 | 100 |
| 24.43 | 72 |
| 16.51 | 60 |
| 16.87 | 52 |
| 29.42 | 46 |
| 22.00 | 44 |
| 32.13 | 38 |
| 21.73 | 35 |
| 36.70 | 33 |
| 28.44 | 33 |
| 31.55 | 32 |
| 26.88 | 30 |